This entry pairs a crystal structure of Rb2HPbI5 with its theoretical X-ray diffraction stick pattern. Radiation: Cu Kα (weighted mean of Kα1 and Kα2). Structure: DFT lattice parameters and positions (GGA-PBE).
Lines closer than 0.1° are merged.

Structure:
```
Rb2HPbI5
1.0
2.465 -10.702 0.000
2.465 10.702 0.000
0.000 0.000 14.760
Rb H Pb I
4 2 2 10
Cartesian
2.465 8.078 7.380
2.465 7.667 2.294
2.465 -7.667 9.673
2.465 -8.078 0.000
2.465 0.361 3.041
2.465 -0.361 10.421
2.465 6.907 12.290
2.465 -6.907 4.910
2.465 10.033 12.531
2.465 4.166 7.084
2.465 3.921 2.667
2.465 3.534 12.258
2.465 0.169 8.857
2.465 -0.169 1.477
2.465 -3.534 4.878
2.465 -3.921 10.047
2.465 -4.166 14.464
2.465 -10.033 5.152
```

The 10 most intense peaks (15° ≤ 2θ ≤ 90°), sorted by position:
| d [Å] | I_rel |
| --- | --- |
| 4.026 | 20 |
| 3.565 | 37 |
| 3.468 | 18 |
| 3.437 | 100 |
| 2.961 | 25 |
| 2.701 | 18 |
| 2.561 | 19 |
| 2.463 | 35 |
| 2.298 | 23 |
| 1.553 | 20 |